Ca8Al3Fe5O20: calculated X-ray powder pattern (CuKα), based on a crystal structure in Alexandria, relaxed with PBE+U.
Neutral-atom scattering factors, no anomalous dispersion.

Crystal structure
a b c (Å): 5.493 8.426 10.697
angles (deg): 108.50 90.00 108.93
Element x y z (fractional)
Ca: 0.000 0.000 0.000
Ca: 0.001 0.000 0.500
Ca: 0.254 0.421 0.605
Ca: 0.257 0.422 0.106
Ca: 0.545 0.000 0.246
Ca: 0.547 0.000 0.752
Ca: 0.709 0.422 0.856
Ca: 0.710 0.421 0.353
Al: 0.128 0.210 0.303
Al: 0.128 0.212 0.811
Al: 0.628 0.211 0.056
Fe: 0.311 0.707 0.404
Fe: 0.312 0.710 0.906
Fe: 0.628 0.210 0.557
Fe: 0.943 0.711 0.155
Fe: 0.945 0.715 0.657
O: 0.270 0.710 0.723
O: 0.272 0.712 0.223
O: 0.317 0.477 0.377
O: 0.320 0.483 0.887
O: 0.356 0.187 0.680
O: 0.361 0.186 0.420
O: 0.366 0.189 0.174
O: 0.372 0.192 0.928
O: 0.547 0.941 0.996
O: 0.554 0.929 0.501
O: 0.701 0.492 0.639
O: 0.710 0.481 0.134
O: 0.886 0.232 0.938
O: 0.890 0.230 0.185
O: 0.894 0.233 0.432
O: 0.901 0.236 0.692
O: 0.935 0.940 0.244
O: 0.940 0.943 0.751
O: 0.985 0.710 0.973
O: 0.986 0.710 0.473

The 10 most intense peaks (2θ = 15–90°), sorted by position:
24.05 deg, d 3.701, I = 17, (1 1 0); 26.11 deg, d 3.413, I = 19, (1 -2 2); 32.60 deg, d 2.747, I = 41, (2 -1 0); 33.42 deg, d 2.682, I = 100, (1 -3 2); 33.51 deg, d 2.674, I = 50, (0 1 -4); 47.45 deg, d 1.916, I = 47, (2 0 -4); 48.50 deg, d 1.877, I = 25, (0 4 0); 58.70 deg, d 1.573, I = 15, (3 -4 2); 59.85 deg, d 1.545, I = 20, (1 -4 6); 70.20 deg, d 1.341, I = 15, (2 -6 4)